1.
For La2TbY12, a PBE-relaxed structure gives the calculated PXRD pattern in this record (Cu Kα (λ = 1.5418 Å)).

Structure:
```
La2TbY12
1.0
3.5729 0.0000 0.0000
0.0000 5.7420 0.0000
0.0000 0.0000 25.0524
La Tb Y
2 1 12
Direct
0.0000 0.0000 0.2320
0.0000 0.0000 0.7680
0.0000 0.0000 0.5000
0.0000 0.5000 0.0617
0.0000 0.5000 0.4236
0.0000 0.5000 0.5764
0.0000 0.5000 0.9383
0.5000 0.0000 0.0842
0.5000 0.0000 0.3752
0.5000 0.0000 0.6248
0.5000 0.0000 0.9158
0.5000 0.5000 0.1724
0.5000 0.5000 0.3024
0.5000 0.5000 0.6976
0.5000 0.5000 0.8276
```

Principal peaks in the range 10° ≤ 2θ ≤ 90°, by angle:
2θ = 28.8°, rel. 44.0; 2θ = 29.4°, rel. 69.6; 2θ = 30.3°, rel. 85.7; 2θ = 31.2°, rel. 100.0; 2θ = 31.4°, rel. 34.7; 2θ = 32.6°, rel. 82.3; 2θ = 32.8°, rel. 77.0; 2θ = 36.6°, rel. 50.6

***

2.
For La7TbY3, a PBE-relaxed structure gives the calculated PXRD pattern in this record (Cu Kα (λ = 1.5418 Å)).

Structure:
```
La7TbY3
1.0
7.1584 0.0000 0.0000
0.0000 11.4502 0.0000
-3.5669 0.0000 9.7229
La Tb Y
14 2 6
Direct
0.0854 0.0164 0.1706
0.0854 0.4836 0.1706
0.1561 0.7500 0.3187
0.1999 0.2500 0.4055
0.3381 0.7500 0.6746
0.4068 0.0473 0.8182
0.4068 0.4527 0.8182
0.5932 0.5473 0.1818
0.5932 0.9527 0.1818
0.6619 0.2500 0.3254
0.8001 0.7500 0.5945
0.8439 0.2500 0.6813
0.9146 0.5164 0.8294
0.9146 0.9836 0.8294
0.0000 0.0000 0.5000
0.0000 0.5000 0.5000
0.2324 0.7500 0.9780
0.2569 0.2500 0.0244
0.5000 0.0000 0.5000
0.5000 0.5000 0.5000
0.7431 0.7500 0.9756
0.7676 0.2500 0.0220
```

Principal peaks in the range 10° ≤ 2θ ≤ 90°, by angle:
2θ = 29.9°, rel. 23.1; 2θ = 30.9°, rel. 100.0; 2θ = 31.0°, rel. 47.5; 2θ = 31.2°, rel. 44.1; 2θ = 31.7°, rel. 84.8; 2θ = 44.6°, rel. 25.3; 2θ = 55.9°, rel. 20.2; 2θ = 61.4°, rel. 25.1

***

3.
For La2Tc, a PBE-relaxed structure gives the calculated PXRD pattern in this record (Cu Kα (λ = 1.5418 Å)).

Structure:
```
La2Tc
1.0
4.7464 0.0000 0.0000
-2.3732 4.1105 0.0000
0.0000 0.0000 8.2125
La Tc
4 2
Direct
0.0000 0.0000 0.0000
0.0000 0.0000 0.5000
0.3333 0.6667 0.2500
0.6667 0.3333 0.7500
0.3333 0.6667 0.7500
0.6667 0.3333 0.2500
```

Principal peaks in the range 10° ≤ 2θ ≤ 90°, by angle:
2θ = 30.8°, rel. 100.0; 2θ = 37.9°, rel. 60.9; 2θ = 44.1°, rel. 19.0; 2θ = 49.6°, rel. 26.3; 2θ = 59.5°, rel. 32.3; 2θ = 64.1°, rel. 24.1; 2θ = 68.5°, rel. 10.8; 2θ = 85.1°, rel. 18.1

***

4.
For La3Tc, a PBE-relaxed structure gives the calculated PXRD pattern in this record (Cu Kα (λ = 1.5418 Å)).

Structure:
```
La3Tc
1.0
10.4579 0.0000 0.0000
-5.2290 9.0568 0.0000
0.0000 0.0000 3.4455
La Tc
9 3
Direct
0.0000 0.5000 0.0000
0.1667 0.3333 0.3333
0.1667 0.8333 0.3333
0.3333 0.1667 0.6667
0.5000 0.0000 0.0000
0.5000 0.5000 0.0000
0.6667 0.8333 0.3333
0.8333 0.1667 0.6667
0.8333 0.6667 0.6667
0.0000 0.0000 0.0000
0.3333 0.6667 0.6667
0.6667 0.3333 0.3333
```

Principal peaks in the range 10° ≤ 2θ ≤ 90°, by angle:
2θ = 32.7°, rel. 100.0; 2θ = 34.3°, rel. 87.6; 2θ = 48.1°, rel. 33.6; 2θ = 57.2°, rel. 19.9; 2θ = 60.4°, rel. 33.8; 2θ = 61.4°, rel. 16.0; 2θ = 78.8°, rel. 15.5; 2θ = 81.6°, rel. 14.2

***

5.
For La3Tc, a PBE-relaxed structure gives the calculated PXRD pattern in this record (Cu Kα (λ = 1.5418 Å)).

Structure:
```
La3Tc
1.0
7.3862 0.0000 0.0000
0.0000 9.9846 0.0000
0.0000 0.0000 6.6953
La Tc
12 4
Direct
0.0647 0.2500 0.1342
0.1697 0.0673 0.6681
0.1697 0.4327 0.6681
0.3303 0.5673 0.1681
0.3303 0.9327 0.1681
0.4353 0.7500 0.6342
0.5647 0.2500 0.3658
0.6697 0.0673 0.8319
0.6697 0.4327 0.8319
0.8303 0.5673 0.3319
0.8303 0.9327 0.3319
0.9353 0.7500 0.8658
0.1160 0.7500 0.4621
0.3840 0.2500 0.9621
0.6160 0.7500 0.0379
0.8840 0.2500 0.5379
```

Principal peaks in the range 10° ≤ 2θ ≤ 90°, by angle:
2θ = 29.0°, rel. 33.3; 2θ = 29.3°, rel. 59.2; 2θ = 30.0°, rel. 100.0; 2θ = 30.1°, rel. 43.4; 2θ = 30.7°, rel. 85.7; 2θ = 32.4°, rel. 80.0; 2θ = 33.0°, rel. 89.1; 2θ = 46.2°, rel. 39.5

***

6.
For La2Tc, a PBE-relaxed structure gives the calculated PXRD pattern in this record (Cu Kα (λ = 1.5418 Å)).

Structure:
```
La2Tc
1.0
7.0893 0.0000 0.0000
0.0000 7.0893 0.0000
0.0000 0.0000 7.0893
La Tc
8 4
Direct
0.1787 0.1787 0.1787
0.1787 0.3213 0.6787
0.3213 0.6787 0.1787
0.3213 0.8213 0.6787
0.6787 0.1787 0.3213
0.6787 0.3213 0.8213
0.8213 0.6787 0.3213
0.8213 0.8213 0.8213
0.0000 0.0000 0.5000
0.0000 0.5000 0.0000
0.5000 0.0000 0.0000
0.5000 0.5000 0.5000
```

Principal peaks in the range 10° ≤ 2θ ≤ 90°, by angle:
2θ = 28.1°, rel. 100.0; 2θ = 30.9°, rel. 29.5; 2θ = 35.8°, rel. 61.2; 2θ = 38.1°, rel. 34.8; 2θ = 42.3°, rel. 40.5; 2θ = 48.0°, rel. 44.2; 2θ = 53.3°, rel. 27.1; 2θ = 67.4°, rel. 24.8

***

7.
For La4Tc, a PBE-relaxed structure gives the calculated PXRD pattern in this record (Cu Kα (λ = 1.5418 Å)).

Structure:
```
La4Tc
1.0
-4.4818 4.4818 4.2262
4.4818 -4.4818 4.2262
4.4818 4.4818 -4.2262
La Tc
8 2
Direct
0.0473 0.8362 0.2078
0.1216 0.4138 0.7111
0.1605 0.9527 0.7889
0.1638 0.3716 0.2111
0.5862 0.2973 0.7078
0.5895 0.8784 0.2922
0.6284 0.8395 0.7922
0.7027 0.4105 0.2889
0.2500 0.7500 0.5000
0.5000 0.5000 0.0000
```

Principal peaks in the range 10° ≤ 2θ ≤ 90°, by angle:
2θ = 28.2°, rel. 36.6; 2θ = 29.0°, rel. 100.0; 2θ = 31.8°, rel. 38.4; 2θ = 33.3°, rel. 30.0; 2θ = 37.7°, rel. 19.0; 2θ = 40.2°, rel. 26.5; 2θ = 50.4°, rel. 24.0; 2θ = 52.2°, rel. 16.8

***

8.
For La3Tc5, a PBE-relaxed structure gives the calculated PXRD pattern in this record (Cu Kα (λ = 1.5418 Å)).

Structure:
```
La3Tc5
1.0
7.0825 0.0000 0.0000
0.0000 10.0457 0.0000
0.0000 0.0000 4.5415
La Tc
6 10
Direct
0.0000 0.0000 0.0000
0.0000 0.2537 0.5000
0.0000 0.7463 0.5000
0.5000 0.2463 0.5000
0.5000 0.5000 0.0000
0.5000 0.7537 0.5000
0.0000 0.5000 0.0000
0.2097 0.5000 0.5000
0.2500 0.2500 0.0000
0.2500 0.7500 0.0000
0.2903 0.0000 0.5000
0.5000 0.0000 0.0000
0.7097 0.0000 0.5000
0.7500 0.2500 0.0000
0.7500 0.7500 0.0000
0.7903 0.5000 0.5000
```

Principal peaks in the range 10° ≤ 2θ ≤ 90°, by angle:
2θ = 35.8°, rel. 28.6; 2θ = 36.8°, rel. 100.0; 2θ = 39.7°, rel. 21.4; 2θ = 54.5°, rel. 16.8; 2θ = 64.4°, rel. 8.1; 2θ = 64.9°, rel. 18.4; 2θ = 70.2°, rel. 15.7; 2θ = 78.4°, rel. 9.1

***

9.
For La3Tc5, a PBE-relaxed structure gives the calculated PXRD pattern in this record (Cu Kα (λ = 1.5418 Å)).

Structure:
```
La3Tc5
1.0
0.0000 7.7822 7.8287
2.8147 0.0000 7.8287
2.8147 7.7822 0.0000
La Tc
6 10
Direct
0.1992 0.1992 0.8008
0.2500 0.2500 0.2500
0.3001 0.6999 0.3001
0.6999 0.3001 0.6999
0.7500 0.7500 0.7500
0.8008 0.8008 0.1992
0.0417 0.7949 0.2051
0.2051 0.9583 0.0417
0.2490 0.7510 0.7510
0.2959 0.4585 0.5415
0.4585 0.2959 0.7041
0.5415 0.7041 0.2959
0.7041 0.5415 0.4585
0.7510 0.2490 0.2490
0.7949 0.0417 0.9583
0.9583 0.2051 0.7949
```

Principal peaks in the range 10° ≤ 2θ ≤ 90°, by angle:
2θ = 11.3°, rel. 35.0; 2θ = 25.5°, rel. 44.9; 2θ = 32.4°, rel. 68.2; 2θ = 35.8°, rel. 84.0; 2θ = 37.2°, rel. 100.0; 2θ = 39.5°, rel. 39.0; 2θ = 43.9°, rel. 34.9; 2θ = 44.2°, rel. 36.1

***

10.
For LaTl2Tc, a PBE-relaxed structure gives the calculated PXRD pattern in this record (Cu Kα (λ = 1.5418 Å)).

Structure:
```
LaTl2Tc
1.0
4.5568 0.0000 0.0000
0.0000 3.5792 0.0000
-2.2638 0.0000 6.5164
La Tl Tc
1 2 1
Direct
0.0000 0.0000 0.0000
0.2946 0.0000 0.5879
0.6798 0.5000 0.3578
0.4674 0.5000 0.9330
```

Principal peaks in the range 10° ≤ 2θ ≤ 90°, by angle:
2θ = 28.4°, rel. 74.8; 2θ = 32.5°, rel. 100.0; 2θ = 37.3°, rel. 43.1; 2θ = 38.1°, rel. 29.2; 2θ = 39.6°, rel. 30.8; 2θ = 39.8°, rel. 19.8; 2θ = 55.5°, rel. 27.8; 2θ = 59.4°, rel. 21.4

***

11.
For La6Tl2Tc, a PBE-relaxed structure gives the calculated PXRD pattern in this record (Cu Kα (λ = 1.5418 Å)).

Structure:
```
La6Tl2Tc
1.0
4.1170 0.0000 0.0000
0.0000 7.7144 4.5050
0.0000 -7.7144 4.5050
La Tl Tc
6 2 1
Direct
0.0000 0.0000 0.0000
0.0000 0.5348 0.7610
0.0000 0.7610 0.5348
0.5000 0.1608 0.7631
0.5000 0.3662 0.3662
0.5000 0.7631 0.1608
0.0000 0.0948 0.4310
0.0000 0.4310 0.0948
0.5000 0.7966 0.7966
```

Principal peaks in the range 10° ≤ 2θ ≤ 90°, by angle:
2θ = 29.4°, rel. 62.1; 2θ = 29.5°, rel. 100.0; 2θ = 30.6°, rel. 39.5; 2θ = 31.6°, rel. 85.7; 2θ = 31.8°, rel. 40.2; 2θ = 34.6°, rel. 47.8; 2θ = 37.7°, rel. 53.0; 2θ = 54.5°, rel. 39.3

***

12.
For LaTm3Tc, a PBE-relaxed structure gives the calculated PXRD pattern in this record (Cu Kα (λ = 1.5418 Å)).

Structure:
```
LaTm3Tc
1.0
5.3688 0.0000 0.0000
0.0000 5.3688 0.0000
0.0000 0.0000 5.3688
La Tm Tc
1 3 1
Direct
0.0000 0.0000 0.0000
0.0000 0.5000 0.5000
0.5000 0.0000 0.5000
0.5000 0.5000 0.0000
0.5000 0.5000 0.5000
```

Principal peaks in the range 10° ≤ 2θ ≤ 90°, by angle:
2θ = 28.8°, rel. 100.0; 2θ = 33.4°, rel. 96.7; 2θ = 47.9°, rel. 70.3; 2θ = 56.9°, rel. 45.3; 2θ = 59.7°, rel. 24.4; 2θ = 77.5°, rel. 18.5; 2θ = 79.9°, rel. 31.5; 2θ = 89.4°, rel. 24.8

***

13.
For LaZrTc, a PBE-relaxed structure gives the calculated PXRD pattern in this record (Cu Kα (λ = 1.5418 Å)).

Structure:
```
LaZrTc
1.0
3.3947 0.0000 0.0000
0.0000 3.3947 0.0000
0.0000 0.0000 12.7574
La Zr Tc
2 2 2
Direct
0.0000 0.0000 0.0000
0.5000 0.5000 0.5000
0.0000 0.0000 0.2624
0.5000 0.5000 0.7624
0.0000 0.0000 0.6549
0.5000 0.5000 0.1549
```

Principal peaks in the range 10° ≤ 2θ ≤ 90°, by angle:
2θ = 13.9°, rel. 17.8; 2θ = 28.0°, rel. 12.9; 2θ = 33.8°, rel. 100.0; 2θ = 37.5°, rel. 52.3; 2θ = 44.4°, rel. 24.6; 2θ = 47.4°, rel. 12.0; 2θ = 54.0°, rel. 17.9; 2θ = 65.3°, rel. 28.7